# 1
Computed powder XRD pattern of Mg2Ti7O15 for Cu Kα (λ = 1.5418 Å), from a DFT-relaxed cell (PBE, the Materials Project).
Lines closer than 0.1° are merged.

Crystal structure
a b c (Å): 5.2584 10.0827 10.7171
angles (deg): 90.00 96.02 90.00
Space group P2_1/m (No. 11)
Asymmetric unit:
Mg (0.0087, 0.2500, 0.3978)
Mg (0.3252, 0.7500, 0.9350)
Ti (0.1065, 0.5615, 0.3803)
Ti (0.2252, 0.0625, 0.9568)
Ti (0.3418, 0.2500, 0.7316)
Ti (0.4390, 0.5683, 0.7131)
O (0.0482, 0.2500, 0.5965)
O (0.0748, 0.6136, 0.9846)
O (0.1507, 0.0690, 0.7706)
O (0.1854, 0.5658, 0.5628)
O (0.2595, 0.1117, 0.3480)
O (0.2944, 0.7500, 0.7411)
O (0.3745, 0.2500, 0.9185)
O (0.4148, 0.6191, 0.3170)
O (0.4781, 0.0665, 0.1034)

Largest 8 diffraction maxima, low angle first, 10° ≤ 2θ ≤ 90°:
2θ/deg	I (rel.)	(hkl)
17.59	24	0 2 0
18.09	32	1 0 -1
25.07	100	1 0 2
32.29	66	1 3 -1
45.82	19	2 3 -2
47.74	35	1 0 5
58.81	20	2 3 4
59.75	19	2 3 -5

---

# 2
Computed powder XRD pattern of MgTi2Ge2O6 for Cu Kα (λ = 1.5418 Å), from a DFT-relaxed cell (PBE, the Materials Project).
Lines closer than 0.1° are merged.

Crystal structure
a b c (Å): 5.0400 5.0776 7.7130
angles (deg): 89.78 71.34 60.60
Space group P1 (No. 1)
Asymmetric unit:
Mg (0.0000, 0.0000, 0.0000)
Ti (0.2475, 0.8591, 0.6184)
Ti (0.8923, 0.5615, 0.6541)
Ge (0.3707, 0.3124, 0.9387)
Ge (0.7531, 0.1215, 0.3708)
O (0.1204, 0.2542, 0.8168)
O (0.3483, 0.4792, 0.4856)
O (0.4269, 0.6284, 0.8217)
O (0.6767, 0.8337, 0.4915)
O (0.7989, 0.9402, 0.8229)
O (0.9908, 0.1700, 0.4964)

Largest 8 diffraction maxima, low angle first, 10° ≤ 2θ ≤ 90°:
2θ/deg	I (rel.)	(hkl)
12.33	100	0 0 1
20.73	38	1 1 0
25.86	34	0 1 1
26.39	30	1 0 2
29.14	56	0 1 -2
35.20	50	1 -1 1
35.36	31	1 2 0
35.66	48	2 1 1